This entry pairs a crystal structure of Y5Ho12Tm2 with its simulated powder XRD pattern. Radiation: Cu Ka. Structure: a GGA-PBE-relaxed structure.

Crystal structure
Lattice parameters (Å, degrees): 6.468 8.849 11.333 109.61 92.91 98.24
Space group P-1 (No. 2)
One atom of each set of equivalent atoms:
Y 0.000 0.000 0.000 x1
Y 0.197 0.988 0.696 x2
Y 0.486 0.607 0.281 x2
Ho 0.031 0.739 0.369 x2
Ho 0.050 0.344 0.232 x2
Ho 0.221 0.401 0.959 x2
Ho 0.299 0.828 0.139 x2
Ho 0.333 0.130 0.422 x2
Ho 0.478 0.800 0.862 x2
Tm 0.264 0.554 0.538 x2

Main lines, in order of rising 2θ (2θ from 10° to 90°):
| index | d/Å | I (rel.) |
| --- | --- | --- |
| 0 3 -2 | 2.872 | 37 |
| 1 2 1 | 2.829 | 100 |
| -1 1 3 | 2.805 | 98 |
| 2 -2 0 | 2.756 | 32 |
| 2 -1 2 | 2.746 | 33 |
| 2 1 -2 | 2.736 | 72 |